No. 1
The following is a simulated XRD peak list of Li3Fe2Si2O8. It was derived from a structure optimized by DFT (GGA+U), using Cu Kα (λ = 1.5418 Å).
No peak broadening, texture or thermal motion is included.

Structure:
```
data_Li3Fe2Si2O8
_symmetry_space_group_name_H-M 'P 1 21 1'
_symmetry_Int_Tables_number 4
_cell_length_a 6.447
_cell_length_b 7.355
_cell_length_c 7.616
_cell_angle_alpha 90.00
_cell_angle_beta 90.86
_cell_angle_gamma 90.00
loop_
_symmetry_equiv_pos_as_xyz
'x,y,z'
'-x,y+1/2,-z'
loop_
_atom_site_label
_atom_site_type_symbol
_atom_site_fract_x
_atom_site_fract_y
_atom_site_fract_z
Li1 Li 0.001 0.000 0.255
Li2 Li 0.249 0.180 0.940
Li3 Li 0.249 0.678 0.446
Fe1 Fe 0.257 0.677 0.068
Fe2 Fe 0.264 0.175 0.570
Si1 Si 0.009 0.864 0.754
Si2 Si 0.489 0.504 0.755
O1 O 0.005 0.226 0.417
O2 O 0.013 0.719 0.926
O3 O 0.198 0.495 0.237
O4 O 0.213 0.991 0.761
O5 O 0.276 0.379 0.759
O6 O 0.295 0.874 0.235
O7 O 0.493 0.631 0.934
O8 O 0.495 0.620 0.575
```

The 10 most intense peaks (2θ from 10° to 90°), low angle first:
d 4.111, I = 100; d 4.069, I = 89; d 3.678, I = 21; d 3.257, I = 16; d 3.194, I = 16; d 2.765, I = 30; d 2.740, I = 41; d 2.645, I = 80; d 1.554, I = 21; d 1.540, I = 22

=====

No. 2
The following is a simulated XRD peak list of CaVSiO5. It was derived from a structure optimized by DFT (GGA+U), using Cu Kα (λ = 1.5418 Å).
No peak broadening, texture or thermal motion is included.

Structure:
```
data_CaVSiO5
_symmetry_space_group_name_H-M 'P -1'
_symmetry_Int_Tables_number 2
_cell_length_a 5.496
_cell_length_b 5.499
_cell_length_c 7.029
_cell_angle_alpha 104.03
_cell_angle_beta 103.92
_cell_angle_gamma 105.87
loop_
_symmetry_equiv_pos_as_xyz
'x,y,z'
'-x,-y,-z'
loop_
_atom_site_label
_atom_site_type_symbol
_atom_site_fract_x
_atom_site_fract_y
_atom_site_fract_z
Ca1 Ca 0.168 0.332 0.250
V1 V 0.500 0.000 0.000
V2 V 0.500 0.000 0.500
Si1 Si 0.183 0.318 0.751
O1 O 0.119 0.750 0.408
O2 O 0.185 0.108 0.884
O3 O 0.250 0.620 0.910
O4 O 0.393 0.315 0.617
O5 O 0.436 0.067 0.251
```

The 10 most intense peaks (2θ from 10° to 90°), low angle first:
d 4.993, I = 25; d 3.235, I = 100; d 3.036, I = 73; d 2.635, I = 68; d 2.597, I = 22; d 2.594, I = 22; d 2.083, I = 18; d 1.739, I = 28; d 1.718, I = 20; d 1.664, I = 28

=====

No. 3
The following is a simulated XRD peak list of YTaW2O8. It was derived from a structure optimized by DFT (GGA+U), using Cu Kα (λ = 1.5418 Å).
No peak broadening, texture or thermal motion is included.

Structure:
```
data_YTaW2O8
_symmetry_space_group_name_H-M 'P 1'
_symmetry_Int_Tables_number 1
_cell_length_a 5.112
_cell_length_b 5.605
_cell_length_c 6.175
_cell_angle_alpha 104.47
_cell_angle_beta 90.83
_cell_angle_gamma 105.51
loop_
_symmetry_equiv_pos_as_xyz
'x,y,z'
loop_
_atom_site_label
_atom_site_type_symbol
_atom_site_fract_x
_atom_site_fract_y
_atom_site_fract_z
Y1 Y 0.000 0.000 0.000
Ta1 Ta 0.514 0.016 0.509
W1 W 0.273 0.499 0.687
W2 W 0.773 0.531 0.372
O1 O 0.195 0.709 0.468
O2 O 0.220 0.717 0.959
O3 O 0.323 0.180 0.768
O4 O 0.372 0.235 0.356
O5 O 0.669 0.787 0.687
O6 O 0.715 0.840 0.273
O7 O 0.835 0.316 0.103
O8 O 0.847 0.314 0.589
```

The 10 most intense peaks (2θ from 10° to 90°), low angle first:
d 5.957, I = 84; d 3.636, I = 100; d 3.233, I = 62; d 3.079, I = 66; d 2.941, I = 31; d 2.624, I = 45; d 2.605, I = 36; d 2.507, I = 31; d 2.287, I = 24; d 2.014, I = 33

=====

No. 4
The following is a simulated XRD peak list of V2ZnO4. It was derived from a structure optimized by DFT (GGA+U), using Cu Kα (λ = 1.5418 Å).
No peak broadening, texture or thermal motion is included.

Structure:
```
data_V2ZnO4
_symmetry_space_group_name_H-M 'C 1 m 1'
_symmetry_Int_Tables_number 8
_cell_length_a 10.487
_cell_length_b 6.084
_cell_length_c 10.534
_cell_angle_alpha 90.00
_cell_angle_beta 109.61
_cell_angle_gamma 90.00
loop_
_symmetry_equiv_pos_as_xyz
'x,y,z'
'x,-y,z'
'x+1/2,y+1/2,z'
'x+1/2,-y+1/2,z'
loop_
_atom_site_label
_atom_site_type_symbol
_atom_site_fract_x
_atom_site_fract_y
_atom_site_fract_z
V1 V 0.000 0.000 0.000
V2 V 0.000 0.252 0.745
V3 V 0.314 0.500 0.435
V4 V 0.315 0.000 0.935
V5 V 0.498 0.000 0.500
V6 V 0.498 0.253 0.246
Zn1 Zn 0.181 0.000 0.557
Zn2 Zn 0.181 0.500 0.058
Zn3 Zn 0.247 0.000 0.247
Zn4 Zn 0.247 0.500 0.745
O1 O 0.110 0.500 0.856
O2 O 0.111 0.235 0.123
O3 O 0.111 0.500 0.370
O4 O 0.113 0.000 0.357
O5 O 0.114 0.267 0.624
O6 O 0.115 0.000 0.869
O7 O 0.380 0.000 0.132
O8 O 0.381 0.240 0.370
O9 O 0.383 0.264 0.871
O10 O 0.385 0.500 0.128
O11 O 0.385 0.500 0.633
O12 O 0.386 0.000 0.623
```

The 10 most intense peaks (2θ from 10° to 90°), low angle first:
d 4.961, I = 12; d 3.041, I = 30; d 3.030, I = 15; d 2.591, I = 100; d 2.583, I = 40; d 2.147, I = 26; d 1.653, I = 41; d 1.521, I = 32; d 1.515, I = 31; d 1.119, I = 12

=====

No. 5
The following is a simulated XRD peak list of Li2Mn5O10. It was derived from a structure optimized by DFT (GGA+U), using Cu Kα (λ = 1.5418 Å).
No peak broadening, texture or thermal motion is included.

Structure:
```
data_Li2Mn5O10
_symmetry_space_group_name_H-M 'P -1'
_symmetry_Int_Tables_number 2
_cell_length_a 5.068
_cell_length_b 5.192
_cell_length_c 7.641
_cell_angle_alpha 73.65
_cell_angle_beta 72.39
_cell_angle_gamma 80.13
loop_
_symmetry_equiv_pos_as_xyz
'x,y,z'
'-x,-y,-z'
loop_
_atom_site_label
_atom_site_type_symbol
_atom_site_fract_x
_atom_site_fract_y
_atom_site_fract_z
Li1 Li 0.238 0.493 0.070
Mn1 Mn 0.000 0.500 0.500
Mn2 Mn 0.110 0.998 0.809
Mn3 Mn 0.310 0.990 0.390
O1 O 0.042 0.792 0.638
O2 O 0.090 0.226 0.970
O3 O 0.206 0.767 0.268
O4 O 0.342 0.205 0.562
O5 O 0.459 0.797 0.823
```

The 10 most intense peaks (2θ from 10° to 90°), low angle first:
d 7.062, I = 59; d 4.960, I = 100; d 4.809, I = 36; d 3.886, I = 25; d 3.301, I = 19; d 3.280, I = 19; d 2.153, I = 47; d 2.077, I = 44; d 2.045, I = 42; d 1.511, I = 24

=====

No. 6
The following is a simulated XRD peak list of Li4Co5O9F. It was derived from a structure optimized by DFT (GGA+U), using Cu Kα (λ = 1.5418 Å).
No peak broadening, texture or thermal motion is included.

Structure:
```
data_Li4Co5O9F
_symmetry_space_group_name_H-M 'P 1'
_symmetry_Int_Tables_number 1
_cell_length_a 2.855
_cell_length_b 5.044
_cell_length_c 12.462
_cell_angle_alpha 79.36
_cell_angle_beta 83.44
_cell_angle_gamma 73.62
loop_
_symmetry_equiv_pos_as_xyz
'x,y,z'
loop_
_atom_site_label
_atom_site_type_symbol
_atom_site_fract_x
_atom_site_fract_y
_atom_site_fract_z
Li1 Li 0.000 0.000 0.000
Li2 Li 0.197 0.998 0.584
Li3 Li 0.598 0.006 0.785
Li4 Li 0.799 0.998 0.380
Co1 Co 0.097 0.517 0.281
Co2 Co 0.303 0.506 0.880
Co3 Co 0.508 0.497 0.480
Co4 Co 0.708 0.497 0.079
Co5 Co 0.906 0.502 0.680
O1 O 0.081 0.693 0.133
O2 O 0.142 0.283 0.427
O3 O 0.272 0.720 0.732
O4 O 0.339 0.291 0.023
O5 O 0.475 0.706 0.336
O6 O 0.541 0.286 0.628
O7 O 0.672 0.714 0.936
O8 O 0.875 0.712 0.532
O9 O 0.936 0.293 0.826
F1 F 0.749 0.258 0.233
```

The 10 most intense peaks (2θ from 10° to 90°), low angle first:
d 4.777, I = 100; d 2.444, I = 12; d 2.435, I = 24; d 2.342, I = 8; d 2.047, I = 21; d 2.030, I = 41; d 1.878, I = 7; d 1.573, I = 9; d 1.455, I = 11; d 1.428, I = 17